The following is a computed XRD peak list of Tl2Hg2SeS2. It was derived from a structure optimized by DFT (GGA-PBE), using a wavelength of 1.5418 Å.

Structural model:
```
Tl2Hg2SeS2
1.0
4.2969 0.0000 0.0000
1.1851 7.3413 0.0000
2.1029 3.1552 6.7120
Tl Hg Se S
2 2 1 2
Direct
0.1198 0.2559 0.1795
0.8802 0.7441 0.8205
0.2713 0.2878 0.6347
0.7287 0.7122 0.3653
0.5000 0.0000 0.5000
0.3078 0.6320 0.2330
0.6922 0.3680 0.7670
```

Peak list (10 most intense, 2θ from 10° to 90°, low angle first)
2θ 24.1, 3.694 Å, I = 68
2θ 24.9, 3.578 Å, I = 100
2θ 25.9, 3.441 Å, I = 60
2θ 26.8, 3.322 Å, I = 85
2θ 28.7, 3.115 Å, I = 51
2θ 30.2, 2.955 Å, I = 99
2θ 31.3, 2.858 Å, I = 58
2θ 33.0, 2.713 Å, I = 33
2θ 34.7, 2.585 Å, I = 66
2θ 48.1, 1.892 Å, I = 40

The following is a computed XRD peak list of Te2BrCl. It was derived from a structure optimized by DFT (GGA-PBE), using a wavelength of 1.5418 Å.

Structural model:
```
Te2BrCl
1.0
4.0060 0.0000 0.0000
0.0000 5.7063 0.0000
0.0000 0.0000 13.1168
Te Br Cl
4 2 2
Direct
0.0000 0.0000 0.0000
0.0000 0.5000 0.5000
0.5000 0.0000 0.1542
0.5000 0.5000 0.6542
0.0000 0.0000 0.4862
0.0000 0.5000 0.9862
0.5000 0.0000 0.8494
0.5000 0.5000 0.3494
```

Peak list (10 most intense, 2θ from 10° to 90°, low angle first)
2θ 13.5, 6.558 Å, I = 79
2θ 16.9, 5.233 Å, I = 87
2θ 26.1, 3.419 Å, I = 100
2θ 31.4, 2.853 Å, I = 54
2θ 34.2, 2.621 Å, I = 67
2θ 35.4, 2.537 Å, I = 60
2θ 41.2, 2.189 Å, I = 80
2θ 48.0, 1.896 Å, I = 50
2θ 52.8, 1.735 Å, I = 26
2θ 56.1, 1.639 Å, I = 23

The following is a computed XRD peak list of Ni2HgAs. It was derived from a structure optimized by DFT (GGA-PBE), using a wavelength of 1.5418 Å.

Structural model:
```
Ni2HgAs
1.0
2.9427 0.0000 0.0000
0.0000 3.5522 0.0000
0.0000 0.0000 12.3334
Ni Hg As
4 2 2
Direct
0.0000 0.0000 0.0000
0.0000 0.5000 0.3224
0.5000 0.0000 0.8224
0.5000 0.5000 0.5000
0.0000 0.0000 0.6317
0.5000 0.5000 0.1317
0.0000 0.5000 0.8766
0.5000 0.0000 0.3766
```

Peak list (10 most intense, 2θ from 10° to 90°, low angle first)
2θ 26.1, 3.413 Å, I = 50
2θ 29.0, 3.083 Å, I = 31
2θ 31.2, 2.862 Å, I = 22
2θ 33.3, 2.688 Å, I = 41
2θ 37.6, 2.393 Å, I = 56
2θ 42.5, 2.127 Å, I = 100
2θ 44.7, 2.026 Å, I = 39
2θ 51.4, 1.776 Å, I = 20
2θ 60.8, 1.523 Å, I = 20
2θ 65.4, 1.426 Å, I = 22

The following is a computed XRD peak list of K4Pd3Cl10. It was derived from a structure optimized by DFT (GGA-PBE), using a wavelength of 1.5418 Å.

Structural model:
```
K4Pd3Cl10
1.0
-2.4950 2.4950 17.6164
2.4950 -2.4950 17.6164
2.4950 2.4950 -17.6164
K Pd Cl
4 3 10
Direct
0.0685 0.0685 0.0000
0.1994 0.1994 0.0000
0.8006 0.8006 0.0000
0.9315 0.9315 0.0000
0.3593 0.3593 0.0000
0.5000 0.5000 0.0000
0.6407 0.6407 0.0000
0.0000 0.5000 0.5000
0.1395 0.6395 0.5000
0.2894 0.2894 0.0000
0.3605 0.8605 0.5000
0.4279 0.4279 0.0000
0.5000 0.0000 0.5000
0.5721 0.5721 0.0000
0.6395 0.1395 0.5000
0.7106 0.7106 0.0000
0.8605 0.3605 0.5000
```

Peak list (10 most intense, 2θ from 10° to 90°, low angle first)
2θ 15.1, 5.872 Å, I = 43
2θ 18.0, 4.941 Å, I = 87
2θ 25.1, 3.544 Å, I = 77
2θ 25.2, 3.528 Å, I = 63
2θ 35.7, 2.517 Å, I = 42
2θ 36.0, 2.495 Å, I = 100
2θ 44.4, 2.040 Å, I = 33
2θ 51.6, 1.772 Å, I = 53
2θ 51.8, 1.764 Å, I = 33
2θ 64.5, 1.445 Å, I = 26

The following is a computed XRD peak list of Nb2Te4I. It was derived from a structure optimized by DFT (GGA-PBE), using a wavelength of 1.5418 Å.

Structural model:
```
Nb2Te4I
1.0
7.4290 0.0000 0.0000
-0.0087 7.7932 0.0000
-3.0695 -3.8991 7.2463
Nb Te I
4 8 2
Direct
0.0000 0.0000 0.0000
0.0001 0.3904 0.0002
0.0433 0.9086 0.4257
0.6129 0.8743 0.3575
0.2366 0.1364 0.8821
0.2416 0.7025 0.0141
0.3042 0.1152 0.3670
0.3037 0.6427 0.3664
0.6649 0.0777 0.7655
0.7688 0.7292 0.0692
0.8752 0.7367 0.5772
0.8757 0.2316 0.5779
0.3264 0.5436 0.6922
0.8440 0.3003 0.2106
```

Peak list (10 most intense, 2θ from 10° to 90°, low angle first)
2θ 12.9, 6.850 Å, I = 75
2θ 26.0, 3.426 Å, I = 65
2θ 26.8, 3.323 Å, I = 73
2θ 31.3, 2.860 Å, I = 70
2θ 32.2, 2.783 Å, I = 51
2θ 33.0, 2.716 Å, I = 46
2θ 33.4, 2.683 Å, I = 100
2θ 33.8, 2.652 Å, I = 49
2θ 42.6, 2.121 Å, I = 51
2θ 46.6, 1.948 Å, I = 42

The following is a computed XRD peak list of MnPAuSN. It was derived from a structure optimized by DFT (GGA-PBE), using a wavelength of 1.5418 Å.

Structural model:
```
MnPAuSN
1.0
3.7029 0.0000 0.0000
0.0000 2.8936 0.0000
-0.0001 0.0000 7.7484
Mn P Au S N
1 1 1 1 1
Direct
0.0000 0.0000 0.0000
0.9982 0.5000 0.6129
0.4982 0.5000 0.4161
0.4999 0.5000 0.0939
0.9982 0.0000 0.7350
```

Peak list (10 most intense, 2θ from 10° to 90°, low angle first)
2θ 11.4, 7.748 Å, I = 100
2θ 23.0, 3.874 Å, I = 43
2θ 26.7, 3.341 Å, I = 90
2θ 33.0, 2.711 Å, I = 60
2θ 33.5, 2.677 Å, I = 32
2θ 34.7, 2.583 Å, I = 22
2θ 39.5, 2.280 Å, I = 43
2θ 42.7, 2.118 Å, I = 31
2θ 46.2, 1.965 Å, I = 39
2θ 53.6, 1.709 Å, I = 35

The following is a computed XRD peak list of La3Y5Tm3. It was derived from a structure optimized by DFT (GGA-PBE), using a wavelength of 1.5418 Å.

Structural model:
```
La3Y5Tm3
1.0
9.7673 0.0000 0.0000
-4.8837 8.4587 0.0000
0.0000 0.0000 5.1483
La Y Tm
3 5 3
Direct
0.0000 0.6390 0.0000
0.3610 0.3610 0.0000
0.6390 0.0000 0.0000
0.0000 0.2581 0.0000
0.2581 0.0000 0.0000
0.3333 0.6667 0.0000
0.6667 0.3333 0.0000
0.7419 0.7419 0.0000
0.0000 0.4695 0.5000
0.4695 0.0000 0.5000
0.5305 0.5305 0.5000
```

Peak list (10 most intense, 2θ from 10° to 90°, low angle first)
2θ 10.5, 8.459 Å, I = 60
2θ 18.2, 4.884 Å, I = 34
2θ 21.0, 4.229 Å, I = 42
2θ 27.3, 3.268 Å, I = 100
2θ 27.9, 3.197 Å, I = 35
2θ 31.7, 2.820 Å, I = 33
2θ 33.0, 2.716 Å, I = 57
2θ 34.9, 2.574 Å, I = 50
2θ 36.3, 2.473 Å, I = 89
2θ 40.9, 2.206 Å, I = 37

The following is a computed XRD peak list of AcPr3Y6Er2. It was derived from a structure optimized by DFT (GGA-PBE), using a wavelength of 1.5418 Å.

Structural model:
```
AcPr3Y6Er2
1.0
3.1458 -5.4468 0.0000
3.1458 5.4468 0.0000
-2.0878 0.0000 11.8051
Ac Pr Y Er
1 3 6 2
Direct
0.0000 0.0000 0.0000
0.1670 0.8330 0.5000
0.5000 0.5000 0.5000
0.8330 0.1670 0.5000
0.0836 0.4197 0.2498
0.2528 0.2528 0.7501
0.4197 0.0836 0.2498
0.5803 0.9164 0.7502
0.7472 0.7472 0.2499
0.9164 0.5803 0.7502
0.3333 0.6667 0.0000
0.6667 0.3333 0.0000
```

Peak list (10 most intense, 2θ from 10° to 90°, low angle first)
2θ 15.0, 5.903 Å, I = 13
2θ 30.2, 2.964 Å, I = 100
2θ 30.3, 2.951 Å, I = 33
2θ 35.0, 2.564 Å, I = 67
2θ 50.2, 1.816 Å, I = 24
2θ 50.4, 1.810 Å, I = 24
2θ 59.7, 1.548 Å, I = 24
2θ 59.8, 1.546 Å, I = 19
2θ 59.9, 1.543 Å, I = 14
2θ 62.7, 1.482 Å, I = 12

Repeat the fourth record exactly.
The following is a computed XRD peak list of K4Pd3Cl10. It was derived from a structure optimized by DFT (GGA-PBE), using a wavelength of 1.5418 Å.

Structural model:
```
K4Pd3Cl10
1.0
-2.4950 2.4950 17.6164
2.4950 -2.4950 17.6164
2.4950 2.4950 -17.6164
K Pd Cl
4 3 10
Direct
0.0685 0.0685 0.0000
0.1994 0.1994 0.0000
0.8006 0.8006 0.0000
0.9315 0.9315 0.0000
0.3593 0.3593 0.0000
0.5000 0.5000 0.0000
0.6407 0.6407 0.0000
0.0000 0.5000 0.5000
0.1395 0.6395 0.5000
0.2894 0.2894 0.0000
0.3605 0.8605 0.5000
0.4279 0.4279 0.0000
0.5000 0.0000 0.5000
0.5721 0.5721 0.0000
0.6395 0.1395 0.5000
0.7106 0.7106 0.0000
0.8605 0.3605 0.5000
```

Peak list (10 most intense, 2θ from 10° to 90°, low angle first)
2θ 15.1, 5.872 Å, I = 43
2θ 18.0, 4.941 Å, I = 87
2θ 25.1, 3.544 Å, I = 77
2θ 25.2, 3.528 Å, I = 63
2θ 35.7, 2.517 Å, I = 42
2θ 36.0, 2.495 Å, I = 100
2θ 44.4, 2.040 Å, I = 33
2θ 51.6, 1.772 Å, I = 53
2θ 51.8, 1.764 Å, I = 33
2θ 64.5, 1.445 Å, I = 26

Copy entry 8 word for word.
The following is a computed XRD peak list of AcPr3Y6Er2. It was derived from a structure optimized by DFT (GGA-PBE), using a wavelength of 1.5418 Å.

Structural model:
```
AcPr3Y6Er2
1.0
3.1458 -5.4468 0.0000
3.1458 5.4468 0.0000
-2.0878 0.0000 11.8051
Ac Pr Y Er
1 3 6 2
Direct
0.0000 0.0000 0.0000
0.1670 0.8330 0.5000
0.5000 0.5000 0.5000
0.8330 0.1670 0.5000
0.0836 0.4197 0.2498
0.2528 0.2528 0.7501
0.4197 0.0836 0.2498
0.5803 0.9164 0.7502
0.7472 0.7472 0.2499
0.9164 0.5803 0.7502
0.3333 0.6667 0.0000
0.6667 0.3333 0.0000
```

Peak list (10 most intense, 2θ from 10° to 90°, low angle first)
2θ 15.0, 5.903 Å, I = 13
2θ 30.2, 2.964 Å, I = 100
2θ 30.3, 2.951 Å, I = 33
2θ 35.0, 2.564 Å, I = 67
2θ 50.2, 1.816 Å, I = 24
2θ 50.4, 1.810 Å, I = 24
2θ 59.7, 1.548 Å, I = 24
2θ 59.8, 1.546 Å, I = 19
2θ 59.9, 1.543 Å, I = 14
2θ 62.7, 1.482 Å, I = 12